[1]
Diffraction record for CuPd7Pt4. The powder diffractogram is calculated, not measured: it uses a DFT-relaxed cell (PBE, Alexandria) and Cu Kα.
Intensities are scaled so that the largest is 100.

```
12
Lattice="2.7787 0.0000 0.0000 -1.3894 2.4064 0.0000 0.0000 0.0000 27.3614" Properties=species:S:1:pos:R:3 pbc="T T T"
Cu 0.0000 0.0000 0.0000
Pd 0.0000 0.0000 6.7673
Pd 0.0000 0.0000 13.6807
Pd 0.0000 0.0000 20.5941
Pd 0.0000 1.6043 18.3063
Pd 0.0000 1.6043 25.2599
Pd 1.3894 0.8021 2.1015
Pd 1.3894 0.8021 9.0551
Pt 0.0000 1.6043 4.4406
Pt 0.0000 1.6043 11.3697
Pt 1.3894 0.8021 15.9917
Pt 1.3894 0.8021 22.9208
```

Principal peaks in the range 2θ = 10–90°, in order of falling intensity:
2θ 39.71, I = 100; 2θ 46.12, I = 64; 2θ 39.52, I = 31; 2θ 81.05, I = 23; 2θ 67.40, I = 21; 2θ 67.15, I = 19

---

[2]
Diffraction record for Cu3Pd4Pt4. The powder diffractogram is calculated, not measured: it uses a DFT-relaxed cell (PBE, Alexandria) and Cu Kα.
Intensities are scaled so that the largest is 100.

```
11
Lattice="2.6665 0.0000 0.0000 -0.0009 4.4980 0.0000 -1.3176 -2.2317 14.0117" Properties=species:S:1:pos:R:3 pbc="T T T"
Cu 0.0000 0.0000 0.0000
Cu 0.0057 2.2597 3.8537
Cu 1.3423 0.0065 10.1580
Pd 0.0057 0.0085 7.5852
Pd 0.0106 2.2569 11.4968
Pd 1.3374 0.0094 2.5150
Pd 1.3423 2.2577 6.4265
Pt 0.0090 2.2567 8.9461
Pt 0.0116 0.0073 12.7282
Pt 1.3364 2.2590 1.2835
Pt 1.3390 0.0096 5.0656
```

Principal peaks in the range 2θ = 10–90°, in order of falling intensity:
2θ 40.67, I = 100; 2θ 41.42, I = 70; 2θ 40.09, I = 68; 2θ 40.72, I = 65; 2θ 21.93, I = 44; 2θ 33.77, I = 37

---

[3]
Diffraction record for Cu7Pd2Pt3. The powder diffractogram is calculated, not measured: it uses a DFT-relaxed cell (PBE, Alexandria) and Cu Kα.
Intensities are scaled so that the largest is 100.

```
12
Lattice="2.0029 -11.6633 0.0000 2.0029 11.6633 0.0000 0.0000 0.0000 3.7566" Properties=species:S:1:pos:R:3 pbc="T T T"
Cu 0.0000 0.0000 0.0000
Cu 2.0029 9.9039 1.8783
Cu 2.0029 5.2639 0.0000
Cu 2.0029 1.7665 0.0000
Cu 2.0029 -1.7665 0.0000
Cu 2.0029 -5.2639 0.0000
Cu 2.0029 -9.9039 1.8783
Pd 2.0029 8.0081 0.0000
Pd 2.0029 -8.0081 0.0000
Pt 2.0029 3.5323 1.8783
Pt 2.0029 0.0000 1.8783
Pt 2.0029 -3.5323 1.8783
```

Principal peaks in the range 2θ = 10–90°, in order of falling intensity:
2θ 42.72, I = 100; 2θ 45.28, I = 24; 2θ 48.46, I = 20; 2θ 38.09, I = 18; 2θ 22.87, I = 17; 2θ 32.91, I = 16

---

[4]
Diffraction record for Cu3Pd6Pt2. The powder diffractogram is calculated, not measured: it uses a DFT-relaxed cell (PBE, Alexandria) and Cu Kα.
Intensities are scaled so that the largest is 100.

```
11
Lattice="-1.3506 2.2142 13.7700 1.3506 -2.2142 13.7700 1.3506 2.2142 -13.7700" Properties=species:S:1:pos:R:3 pbc="T T T"
Cu 0.0000 0.0000 0.0000
Cu 0.0000 0.0000 5.0927
Cu 0.0000 0.0000 22.4473
Pd 1.3506 0.0000 2.6770
Pd 0.0000 0.0000 7.6382
Pd 1.3506 0.0000 10.0761
Pd 0.0000 2.2142 3.6938
Pd 0.0000 0.0000 19.9018
Pd 0.0000 2.2142 11.0930
Pt 0.0000 0.0000 12.4949
Pt 0.0000 0.0000 15.0450
```

Principal peaks in the range 2θ = 10–90°, in order of falling intensity:
2θ 41.43, I = 100; 2θ 41.29, I = 81; 2θ 40.75, I = 56; 2θ 40.51, I = 36; 2θ 74.60, I = 31; 2θ 20.31, I = 25

---

[5]
Diffraction record for Pu4CuPdPt2. The powder diffractogram is calculated, not measured: it uses a DFT-relaxed cell (PBE, Alexandria) and Cu Kα.
Intensities are scaled so that the largest is 100.

```
8
Lattice="2.4661 1.4238 8.2128 -2.4661 1.4238 8.2128 0.0000 -2.8476 8.2128" Properties=species:S:1:pos:R:3 pbc="T T T"
Pu 0.0000 0.0000 3.0621
Pu 0.0000 0.0000 9.2063
Pu 0.0000 0.0000 15.4321
Pu 0.0000 0.0000 21.5764
Cu 0.0000 0.0000 0.0000
Pd 0.0000 0.0000 12.3192
Pt 0.0000 0.0000 6.1580
Pt 0.0000 0.0000 18.4805
```

Principal peaks in the range 2θ = 10–90°, in order of falling intensity:
2θ 35.95, I = 100; 2θ 36.43, I = 97; 2θ 65.25, I = 36; 2θ 52.11, I = 35; 2θ 64.30, I = 19; 2θ 65.57, I = 18

---

[6]
Diffraction record for PuCuPdPt. The powder diffractogram is calculated, not measured: it uses a DFT-relaxed cell (PBE, Alexandria) and Cu Kα.
Intensities are scaled so that the largest is 100.

```
4
Lattice="0.0000 3.3019 3.3019 3.3019 0.0000 3.3019 3.3019 3.3019 0.0000" Properties=species:S:1:pos:R:3 pbc="T T T"
Pu 0.0000 0.0000 0.0000
Cu 3.3019 3.3019 3.3019
Pd 4.9528 4.9528 4.9528
Pt 1.6509 1.6509 1.6509
```

Principal peaks in the range 2θ = 10–90°, in order of falling intensity:
2θ 38.56, I = 100; 2θ 69.77, I = 35; 2θ 23.33, I = 22; 2θ 55.67, I = 17; 2θ 45.56, I = 12; 2θ 82.66, I = 11

---

[7]
Diffraction record for CuSb2Pd2Pt7. The powder diffractogram is calculated, not measured: it uses a DFT-relaxed cell (PBE, Alexandria) and Cu Kα.
Intensities are scaled so that the largest is 100.

```
12
Lattice="2.8633 -2.7938 0.0000 2.8633 2.7938 0.0000 -0.0200 0.0000 12.5222" Properties=species:S:1:pos:R:3 pbc="T T T"
Cu 0.0000 0.0000 0.0000
Sb -0.0107 0.0000 8.6111
Sb 5.7174 0.0000 3.9111
Pd 2.8590 0.0000 3.9406
Pd 2.8478 0.0000 8.5816
Pt 4.2910 -1.3977 1.8988
Pt 1.4157 1.3977 10.6234
Pt 1.4400 0.0000 6.2567
Pt 4.2910 1.3977 1.8988
Pt 1.4157 -1.3977 10.6234
Pt 2.8633 0.0000 0.0000
Pt 4.2667 0.0000 6.2655
```

Principal peaks in the range 2θ = 10–90°, in order of falling intensity:
2θ 38.11, I = 100; 2θ 43.39, I = 61; 2θ 38.79, I = 32; 2θ 45.96, I = 30; 2θ 32.85, I = 25; 2θ 79.77, I = 24

---

[8]
Diffraction record for Sc4Cu2PdPt. The powder diffractogram is calculated, not measured: it uses a DFT-relaxed cell (PBE, Alexandria) and Cu Kα.
Intensities are scaled so that the largest is 100.

```
8
Lattice="2.3221 1.3407 7.5944 -2.3221 1.3407 7.5944 0.0000 -2.6814 7.5944" Properties=species:S:1:pos:R:3 pbc="T T T"
Sc 0.0000 0.0000 2.8307
Sc 0.0000 0.0000 8.5275
Sc 0.0000 0.0000 14.2556
Sc 0.0000 0.0000 19.9524
Cu 0.0000 0.0000 5.6781
Cu 0.0000 0.0000 17.1049
Pd 0.0000 0.0000 11.3915
Pt 0.0000 0.0000 0.0000
```

Principal peaks in the range 2θ = 10–90°, in order of falling intensity:
2θ 38.76, I = 100; 2θ 70.17, I = 32; 2θ 27.14, I = 22; 2θ 23.45, I = 17; 2θ 55.98, I = 16; 2θ 83.16, I = 10

---

[9]
Diffraction record for CuSnPdPt. The powder diffractogram is calculated, not measured: it uses a DFT-relaxed cell (PBE, Alexandria) and Cu Kα.
Intensities are scaled so that the largest is 100.

```
4
Lattice="-2.0674 2.0674 3.7253 2.0674 -2.0674 3.7253 2.0674 2.0674 -3.7253" Properties=species:S:1:pos:R:3 pbc="T T T"
Cu 0.0000 0.0000 0.0000
Sn 0.0000 0.0000 3.7253
Pd 2.0674 0.0000 1.8626
Pt 0.0000 2.0674 1.8626
```

Principal peaks in the range 2θ = 10–90°, in order of falling intensity:
2θ 39.17, I = 100; 2θ 43.79, I = 36; 2θ 77.34, I = 27; 2θ 67.71, I = 20; 2θ 48.90, I = 13; 2θ 24.62, I = 13

---

[10]
Diffraction record for VCuPd2Pt2. The powder diffractogram is calculated, not measured: it uses a DFT-relaxed cell (PBE, Alexandria) and Cu Kα.
Intensities are scaled so that the largest is 100.

```
12
Lattice="5.0328 0.0000 0.0000 0.0000 5.3820 0.0000 -0.8219 0.0000 6.6271" Properties=species:S:1:pos:R:3 pbc="T T T"
V 0.8876 1.3455 1.0445
V 3.3232 4.0365 5.5826
Cu 1.9052 4.0365 3.2170
Cu 2.3056 1.3455 3.4102
Pd 1.0215 0.0026 5.3947
Pd 1.0215 2.6884 5.3947
Pd 3.1894 5.3794 1.2324
Pd 3.1894 2.6936 1.2324
Pt -0.2009 1.3455 3.1806
Pt 0.6754 4.0365 0.8872
Pt 3.5355 1.3455 5.7399
Pt 4.4117 4.0365 3.4465
```

Principal peaks in the range 2θ = 10–90°, in order of falling intensity:
2θ 40.12, I = 100; 2θ 40.85, I = 88; 2θ 42.57, I = 76; 2θ 37.98, I = 63; 2θ 39.65, I = 52; 2θ 43.31, I = 46

---

[11]
Diffraction record for Pu3CuPd3. The powder diffractogram is calculated, not measured: it uses a DFT-relaxed cell (PBE, Alexandria) and Cu Kα.
Intensities are scaled so that the largest is 100.

```
7
Lattice="-1.8672 2.1651 9.4591 1.8672 -2.1651 9.4591 1.8672 2.1651 -9.4591" Properties=species:S:1:pos:R:3 pbc="T T T"
Pu 0.0000 0.0000 0.0000
Pu 0.0000 0.0000 7.1045
Pu 0.0000 2.1651 3.5570
Cu 1.8672 0.0000 4.8450
Pd 1.8672 0.0000 2.3561
Pd 0.0000 0.0000 10.0859
Pd 0.0000 0.0000 15.7808
```

Principal peaks in the range 2θ = 10–90°, in order of falling intensity:
2θ 33.06, I = 100; 2θ 33.72, I = 46; 2θ 39.30, I = 34; 2θ 41.72, I = 28; 2θ 24.94, I = 28; 2θ 54.68, I = 24

---

[12]
Diffraction record for PuCu9Pd2. The powder diffractogram is calculated, not measured: it uses a DFT-relaxed cell (PBE, Alexandria) and Cu Kα.
Intensities are scaled so that the largest is 100.

```
12
Lattice="2.4855 1.4350 7.8771 -2.4855 1.4350 7.8771 0.0000 -2.8700 7.8771" Properties=species:S:1:pos:R:3 pbc="T T T"
Pu 0.0000 0.0000 0.0000
Cu -1.2641 -0.7298 9.9233
Cu 0.0000 0.0000 7.8933
Cu 0.0000 -1.4596 13.7078
Cu -1.2641 0.7298 13.7078
Cu 0.0000 0.0000 11.8156
Cu 1.2641 -0.7298 9.9234
Cu 0.0000 1.4596 9.9234
Cu 0.0000 0.0000 15.7379
Cu 1.2641 0.7298 13.7079
Pd 0.0000 0.0000 3.4188
Pd 0.0000 0.0000 20.2124
```

Principal peaks in the range 2θ = 10–90°, in order of falling intensity:
2θ 43.03, I = 100; 2θ 36.14, I = 42; 2θ 42.16, I = 34; 2θ 33.74, I = 31; 2θ 36.90, I = 25; 2θ 69.75, I = 23